For Ba2Li2NdS4, DFT lattice parameters and positions (GGA-PBE) gives the computed X-ray diffraction stick pattern in this record (Cu Kα).

Unit cell a=15.1577 b=4.1197 c=7.4217 alpha=90.00 beta=110.06 gamma=90.00
Space group C2/m (No. 12)
Unique sites:
Ba: 0.1330 0.0000 0.0579 (multiplicity 4)
Li: 0.1816 0.5000 0.4948 (multiplicity 4)
Nd: 0.0000 0.0000 0.5000 (multiplicity 2)
S: 0.0233 0.5000 0.2512 (multiplicity 4)
S: 0.2058 0.0000 0.6914 (multiplicity 4)

Principal peaks in the range 2θ = 5–70°, by angle:
7.119 Å, 2θ 12.4, I 28
4.298 Å, 2θ 20.7, I 30
3.957 Å, 2θ 22.5, I 73
3.730 Å, 2θ 23.9, I 45
3.666 Å, 2θ 24.3, I 37
3.113 Å, 2θ 28.7, I 56
2.805 Å, 2θ 31.9, I 47
2.749 Å, 2θ 32.6, I 100
2.630 Å, 2θ 34.1, I 68
2.438 Å, 2θ 36.9, I 50

=====

For BaLi2NdSn2, DFT lattice parameters and positions (GGA-PBE) gives the computed X-ray diffraction stick pattern in this record (Cu Kα).

Unit cell a=4.9420 b=4.9420 c=8.3256 alpha=90.00 beta=90.00 gamma=120.00
Space group P-3m1 (No. 164)
Unique sites:
Ba: 0.0000 0.0000 0.0000 (multiplicity 1)
Li: 0.3333 0.6667 0.6833 (multiplicity 2)
Nd: 0.0000 0.0000 0.5000 (multiplicity 1)
Sn: 0.3333 0.6667 0.2964 (multiplicity 2)

Principal peaks in the range 2θ = 5–70°, by angle:
4.280 Å, 2θ 20.8, I 18
3.806 Å, 2θ 23.4, I 44
2.984 Å, 2θ 29.9, I 100
2.471 Å, 2θ 36.4, I 53
2.329 Å, 2θ 38.7, I 10
1.903 Å, 2θ 47.8, I 28
1.872 Å, 2θ 48.6, I 14
1.592 Å, 2θ 57.9, I 14
1.508 Å, 2θ 61.5, I 26
1.427 Å, 2θ 65.4, I 10